(1)
Calculated powder diffraction line list
Compound: Dy8Ge3Te4Pt
Radiation: copper Kα
Structure: a DFT-relaxed cell (PBE, Alexandria)
Lines closer than 0.1° are merged.

Principal peaks in the range 10° ≤ 2θ ≤ 90°, low angle first:
(hkl), two_theta, d/Å, I/Imax
0 2 4, 29.62, 3.016, 100.0
2 0 8, 41.93, 2.155, 34.6
2 2 0, 42.82, 2.112, 38.2
4 0 4, 52.93, 1.730, 19.8
0 4 8, 61.48, 1.508, 11.2
2 2 12, 69.06, 1.360, 12.8
2 4 4, 70.35, 1.338, 16.8
4 2 8, 77.83, 1.227, 11.3

```
data_Dy8Ge3Te4Pt
_symmetry_space_group_name_H-M 'R -3 m'
_symmetry_Int_Tables_number 166
_symmetry_space_group_name_Hall '-R 3 2"'
_cell_length_a 8.4466
_cell_length_b 8.4466
_cell_length_c 21.3332
_cell_angle_alpha 90.00
_cell_angle_beta 90.00
_cell_angle_gamma 120.00
loop_
_atom_site_label
_atom_site_fract_x
_atom_site_fract_y
_atom_site_fract_z
_atom_site_occupancy
Dy1 0.0000 0.0000 0.2406 1
Dy2 0.9997 0.4999 0.2395 1
Ge1 0.0000 0.5000 0.5000 1
Te1 0.0000 0.0000 0.0000 1
Te2 0.0000 0.5000 0.0000 1
Pt1 0.0000 0.0000 0.5000 1
```

---

(2)
Calculated powder diffraction line list
Compound: DyPu3Ge4
Radiation: copper Kα
Structure: a DFT-relaxed cell (PBE, Alexandria)
Lines closer than 0.1° are merged.

Principal peaks in the range 10° ≤ 2θ ≤ 90°, low angle first:
(hkl), two_theta, d/Å, I/Imax
1 1 1, 23.28, 3.821, 40.4
2 0 -2, 29.63, 3.015, 10.8
0 2 0, 33.16, 2.702, 73.8
1 1 -3, 38.01, 2.367, 100.0
2 2 2, 47.60, 1.910, 27.2
1 3 -3, 62.42, 1.488, 35.4
1 1 5, 62.61, 1.484, 12.0
4 2 -4, 71.64, 1.317, 11.0

```
data_DyPu3Ge4
_symmetry_space_group_name_H-M 'C 1 2/m 1'
_symmetry_Int_Tables_number 12
_symmetry_space_group_name_Hall '-C 2y'
_cell_length_a 8.108
_cell_length_b 5.409
_cell_length_c 8.080
_cell_angle_alpha 90.00
_cell_angle_beta 96.34
_cell_angle_gamma 90.00
loop_
_atom_site_label
_atom_site_fract_x
_atom_site_fract_y
_atom_site_fract_z
_atom_site_occupancy
Dy1 0.000 0.000 0.000 1
Pu1 0.000 0.500 0.500 1
Pu2 0.238 0.500 0.257 1
Ge1 0.120 0.000 0.376 1
Ge2 0.127 0.500 0.878 1
```

---

(3)
Calculated powder diffraction line list
Compound: RbDyGeSe4
Radiation: copper Kα
Structure: a DFT-relaxed cell (PBE, Alexandria)
Lines closer than 0.1° are merged.

Principal peaks in the range 10° ≤ 2θ ≤ 90°, low angle first:
(hkl), two_theta, d/Å, I/Imax
0 2 0, 25.17, 3.538, 58.6
2 0 -2, 28.64, 3.117, 56.6
1 2 0, 28.80, 3.100, 57.7
1 1 2, 30.24, 2.955, 100.0
2 1 -2, 31.37, 2.852, 78.3
0 2 2, 32.14, 2.785, 48.1
1 2 -2, 32.50, 2.755, 44.9
2 2 0, 37.80, 2.380, 49.2

```
data_RbDyGeSe4
_symmetry_space_group_name_H-M 'P 1 21/m 1'
_symmetry_Int_Tables_number 11
_symmetry_space_group_name_Hall '-P 2yb'
_cell_length_a 6.767
_cell_length_b 7.076
_cell_length_c 9.500
_cell_angle_alpha 90.00
_cell_angle_beta 108.06
_cell_angle_gamma 90.00
loop_
_atom_site_label
_atom_site_fract_x
_atom_site_fract_y
_atom_site_fract_z
_atom_site_occupancy
Rb1 0.250 0.250 0.059 1
Dy1 0.226 0.250 0.550 1
Ge1 0.224 0.750 0.334 1
Se1 0.015 0.509 0.703 1
Se2 0.427 0.750 0.174 1
Se3 0.443 0.750 0.581 1
```

---

(4)
Calculated powder diffraction line list
Compound: Dy3Ge5Rh6
Radiation: copper Kα
Structure: a DFT-relaxed cell (PBE, Alexandria)
Lines closer than 0.1° are merged.

Principal peaks in the range 10° ≤ 2θ ≤ 90°, low angle first:
(hkl), two_theta, d/Å, I/Imax
0 3 3, 35.08, 2.558, 27.5
1 0 3, 35.64, 2.519, 34.0
1 3 2, 35.83, 2.506, 100.0
0 6 0, 42.66, 2.119, 21.1
2 0 0, 44.51, 2.036, 30.7
2 3 3, 57.92, 1.592, 18.3
2 6 0, 63.35, 1.468, 12.9
1 3 6, 66.42, 1.407, 14.5

```
data_Dy3Ge5Rh6
_symmetry_space_group_name_H-M 'P m m n'
_symmetry_Int_Tables_number 59
_cell_length_a 4.071
_cell_length_b 12.717
_cell_length_c 9.622
_cell_angle_alpha 90.00
_cell_angle_beta 90.00
_cell_angle_gamma 90.00
loop_
_symmetry_equiv_pos_as_xyz
'x,y,z'
'-x,-y,-z'
'-x+1/2,-y+1/2,z'
'x+1/2,y+1/2,-z'
'x+1/2,-y,-z'
'-x+1/2,y,z'
'-x,y+1/2,-z'
'x,-y+1/2,z'
loop_
_atom_site_label
_atom_site_fract_x
_atom_site_fract_y
_atom_site_fract_z
_atom_site_occupancy
Dy1 0.250 0.082 0.250 1
Dy2 0.250 0.750 0.246 1
Ge1 0.250 0.081 0.649 1
Ge2 0.250 0.631 0.980 1
Ge3 0.250 0.750 0.639 1
Rh1 0.250 0.050 0.903 1
Rh2 0.250 0.250 0.016 1
Rh3 0.250 0.250 0.511 1
Rh4 0.250 0.584 0.498 1
```

---

(5)
Calculated powder diffraction line list
Compound: Dy2Ge6Rh9
Radiation: copper Kα
Structure: a DFT-relaxed cell (PBE, Alexandria)
Lines closer than 0.1° are merged.

Principal peaks in the range 10° ≤ 2θ ≤ 90°, low angle first:
(hkl), two_theta, d/Å, I/Imax
1 0 2, 24.17, 3.682, 24.2
1 0 3, 30.13, 2.966, 24.7
2 0 0, 36.77, 2.445, 66.1
1 1 3, 40.06, 2.251, 100.0
2 0 3, 44.30, 2.045, 60.2
3 0 3, 62.16, 1.493, 26.9
2 2 0, 66.22, 1.411, 31.3
2 2 6, 86.47, 1.125, 22.4

```
data_Dy2Ge6Rh9
_symmetry_space_group_name_H-M 'P 6/m m m'
_symmetry_Int_Tables_number 191
_symmetry_space_group_name_Hall '-P 6 2'
_cell_length_a 5.6454
_cell_length_b 5.6454
_cell_length_c 11.1907
_cell_angle_alpha 90.00
_cell_angle_beta 90.00
_cell_angle_gamma 120.00
loop_
_atom_site_label
_atom_site_fract_x
_atom_site_fract_y
_atom_site_fract_z
_atom_site_occupancy
Dy1 0.0000 0.0000 0.2012 1
Ge1 0.3333 0.6667 0.1652 1
Ge2 0.3333 0.6667 0.5000 1
Rh1 0.0000 0.5000 0.0000 1
Rh2 0.0000 0.5000 0.3315 1
```

---

(6)
Calculated powder diffraction line list
Compound: DyGeRh4
Radiation: copper Kα
Structure: a DFT-relaxed cell (PBE, Alexandria)
Lines closer than 0.1° are merged.

Principal peaks in the range 10° ≤ 2θ ≤ 90°, low angle first:
(hkl), two_theta, d/Å, I/Imax
2 1 1, 35.67, 2.517, 100.0
1 1 2, 37.07, 2.425, 60.0
3 0 1, 38.21, 2.355, 21.0
0 0 3, 39.80, 2.265, 32.5
2 1 2, 42.68, 2.118, 93.3
3 0 2, 44.92, 2.018, 19.4
0 2 0, 46.56, 1.951, 41.6
4 0 0, 48.33, 1.883, 22.4

```
data_DyGeRh4
_symmetry_space_group_name_H-M 'P m m a'
_symmetry_Int_Tables_number 51
_symmetry_space_group_name_Hall '-P 2a 2a'
_cell_length_a 7.533
_cell_length_b 3.901
_cell_length_c 6.794
_cell_angle_alpha 90.00
_cell_angle_beta 90.00
_cell_angle_gamma 90.00
loop_
_atom_site_label
_atom_site_fract_x
_atom_site_fract_y
_atom_site_fract_z
_atom_site_occupancy
Dy1 0.250 0.000 0.147 1
Ge1 0.250 0.000 0.724 1
Rh1 0.000 0.000 0.500 1
Rh2 0.051 0.500 0.807 1
Rh3 0.250 0.500 0.448 1
```

---

(7)
Calculated powder diffraction line list
Compound: Dy3Ge8Rh3
Radiation: copper Kα
Structure: a DFT-relaxed cell (PBE, Alexandria)
Lines closer than 0.1° are merged.

Principal peaks in the range 10° ≤ 2θ ≤ 90°, low angle first:
(hkl), two_theta, d/Å, I/Imax
3 1 0, 27.98, 3.189, 33.6
6 0 -2, 34.00, 2.636, 42.1
1 1 2, 34.59, 2.593, 100.0
5 1 -1, 34.91, 2.570, 53.7
5 1 -2, 35.52, 2.527, 30.4
3 1 -3, 37.42, 2.403, 45.3
6 0 0, 39.26, 2.295, 36.9
0 2 0, 40.71, 2.216, 74.5

```
data_Dy3Ge8Rh3
_symmetry_space_group_name_H-M 'C 1 2/m 1'
_symmetry_Int_Tables_number 12
_symmetry_space_group_name_Hall '-C 2y'
_cell_length_a 15.958
_cell_length_b 4.433
_cell_length_c 8.588
_cell_angle_alpha 90.00
_cell_angle_beta 120.31
_cell_angle_gamma 90.00
loop_
_atom_site_label
_atom_site_fract_x
_atom_site_fract_y
_atom_site_fract_z
_atom_site_occupancy
Dy1 0.000 0.000 0.000 1
Dy2 0.214 0.500 0.689 1
Ge1 0.017 0.500 0.693 1
Ge2 0.127 0.000 0.413 1
Ge3 0.139 0.500 0.274 1
Ge4 0.162 0.000 0.882 1
Rh1 0.000 0.000 0.500 1
Rh2 0.156 0.500 0.010 1
```

---

(8)
Calculated powder diffraction line list
Compound: DyGe4Rh2
Radiation: copper Kα
Structure: a DFT-relaxed cell (PBE, Alexandria)
Lines closer than 0.1° are merged.

Principal peaks in the range 10° ≤ 2θ ≤ 90°, low angle first:
(hkl), two_theta, d/Å, I/Imax
2 1 2, 35.74, 2.512, 100.0
5 1 1, 36.19, 2.482, 64.5
6 1 0, 37.86, 2.376, 17.5
7 0 1, 38.99, 2.310, 31.2
0 2 0, 42.72, 2.116, 45.2
2 1 3, 47.22, 1.925, 15.2
7 2 1, 59.21, 1.561, 18.5
9 1 3, 68.24, 1.374, 14.8

```
data_DyGe4Rh2
_symmetry_space_group_name_H-M 'P n m a'
_symmetry_Int_Tables_number 62
_symmetry_space_group_name_Hall '-P 2ac 2n'
_cell_length_a 17.227
_cell_length_b 4.233
_cell_length_c 6.698
_cell_angle_alpha 90.00
_cell_angle_beta 90.00
_cell_angle_gamma 90.00
loop_
_atom_site_label
_atom_site_fract_x
_atom_site_fract_y
_atom_site_fract_z
_atom_site_occupancy
Dy1 0.142 0.250 0.004 1
Ge1 0.035 0.750 0.865 1
Ge2 0.065 0.250 0.466 1
Ge3 0.181 0.750 0.306 1
Ge4 0.193 0.750 0.725 1
Rh1 0.031 0.750 0.249 1
Rh2 0.211 0.250 0.521 1
```